Record 1
Theoretical X-ray powder pattern
Compound: Nd4CBr3F2
Radiation: Cu Kα
Structure: a PBE-relaxed structure

The 10 most intense peaks (10 to 80 degrees two-theta), in order of rising 2θ:
d/Å	two_theta	intensity
8.609	10.3	48
8.079	11.0	96
3.083	29.0	17
2.870	31.2	63
2.807	31.9	100
2.552	35.2	33
2.040	44.4	30
1.975	45.9	25
1.922	47.3	19
1.597	57.7	15

abc: 17.5321 3.8447 8.2269
angles: 90.00 100.87 90.00
Space group C2/m (No. 12)
Inequivalent atoms, fractional coordinates:
Nd (0.0012, 0.0000, 0.2087)
Nd (0.1437, 0.5000, 0.0782)
C (0.0000, 0.5000, 0.0000)
Br (0.0000, 0.5000, 0.5000)
Br (0.1731, 0.0000, 0.8145)
F (0.1444, 0.0000, 0.2553)



Record 2
Theoretical X-ray powder pattern
Compound: Nd4CBrF4
Radiation: Cu Kα
Structure: a PBE-relaxed structure

The 10 most intense peaks (10 to 80 degrees two-theta), in order of rising 2θ:
d/Å	two_theta	intensity
7.170	12.3	44
3.979	22.3	41
3.290	27.1	29
3.004	29.7	51
2.860	31.3	48
2.739	32.7	100
2.211	40.8	29
2.194	41.2	30
1.954	46.5	37
1.868	48.7	37

abc: 15.0663 3.7709 8.2076
angles: 90.00 119.13 90.00
Space group C2/m (No. 12)
Inequivalent atoms, fractional coordinates:
Nd (0.0081, 0.0000, 0.2133)
Nd (0.1844, 0.5000, 0.1536)
C (0.0000, 0.5000, 0.0000)
Br (0.0000, 0.5000, 0.5000)
F (0.1799, 0.0000, 0.9506)
F (0.1983, 0.0000, 0.3468)



Record 3
Theoretical X-ray powder pattern
Compound: Nd4CBr2F3
Radiation: Cu Kα
Structure: a PBE-relaxed structure

The 10 most intense peaks (10 to 80 degrees two-theta), in order of rising 2θ:
d/Å	two_theta	intensity
8.481	10.4	31
6.997	12.7	65
3.280	27.2	40
3.097	28.8	29
2.827	31.6	58
2.580	34.8	100
2.503	35.9	41
1.926	47.2	29
1.886	48.3	34
1.851	49.2	22

abc: 17.4506 3.7017 7.1980
angles: 90.00 103.58 90.00
Space group C2/m (No. 12)
Inequivalent atoms, fractional coordinates:
Nd (0.0060, 0.0000, 0.2458)
Nd (0.1471, 0.5000, 0.0856)
C (0.0000, 0.5000, 0.0000)
Br (0.1685, 0.0000, 0.7724)
F (0.0000, 0.5000, 0.5000)
F (0.1495, 0.0000, 0.3036)